No. 1
Theoretical PXRD pattern of SrCaTi2O6 for Cu Kα, from a crystal structure in the Materials Project, relaxed with PBE.
Intensities are scaled so that the largest is 100.

Structural model:
Lattice parameters (Å, degrees): 7.792 7.891 7.786 90.00 90.00 90.00
Space group Cmcm (No. 63)
Inequivalent atoms, fractional coordinates:
Sr (0.000, 0.002, 0.250) x4
Ca (0.000, 0.498, 0.750) x4
Ti (0.250, 0.250, 0.000) x8
O (0.000, 0.255, 0.042) x8
O (0.208, 0.255, 0.750) x8
O (0.250, 0.000, 0.000) x8

Principal peaks in the range 2θ = 5–70°, in order of falling intensity:
hkl 2 2 0, 2θ = 32.3°, d 2.772, I = 100
hkl 2 0 2, 2θ = 32.5°, d 2.754, I = 57
hkl 4 0 0, 2θ = 46.6°, d 1.947, I = 44
hkl 4 2 2, 2θ = 57.9°, d 1.593, I = 42
hkl 0 4 0, 2θ = 46.0°, d 1.973, I = 25
hkl 4 4 0, 2θ = 67.6°, d 1.386, I = 25
hkl 2 2 2, 2θ = 39.9°, d 2.258, I = 24
hkl 2 4 2, 2θ = 57.5°, d 1.604, I = 21
hkl 1 1 0, 2θ = 16.0°, d 5.544, I = 14
hkl 4 0 4, 2θ = 68.1°, d 1.377, I = 11


No. 2
Theoretical PXRD pattern of CaMn2S4 for Cu Kα, from a crystal structure in the Materials Project, relaxed with PBE.
Intensities are scaled so that the largest is 100.

Structural model:
Lattice parameters (Å, degrees): 7.085 7.085 12.461 90.00 90.00 90.00
Space group I4_1/amd (No. 141, origin choice 2)
Inequivalent atoms, fractional coordinates:
Ca (0.000, 0.250, 0.375) x4
Mn (0.000, 0.000, 0.000) x8
S (0.000, 0.032, 0.768) x16

Principal peaks in the range 2θ = 5–70°, in order of falling intensity:
hkl 2 2 4, 2θ = 46.5°, d 1.952, I = 100
hkl 2 1 1, 2θ = 29.1°, d 3.071, I = 75
hkl 1 0 1, 2θ = 14.4°, d 6.159, I = 74
hkl 2 2 0, 2θ = 35.8°, d 2.505, I = 59
hkl 0 0 4, 2θ = 28.7°, d 3.115, I = 55
hkl 1 0 3, 2θ = 24.8°, d 3.583, I = 51
hkl 3 2 1, 2θ = 46.8°, d 1.941, I = 48
hkl 1 0 5, 2θ = 38.3°, d 2.351, I = 46
hkl 4 0 0, 2θ = 51.6°, d 1.771, I = 36
hkl 1 1 2, 2θ = 22.8°, d 3.904, I = 26


No. 3
Theoretical PXRD pattern of TiC4NO10 for Cu Kα, from a crystal structure in the Materials Project, relaxed with PBE.
Intensities are scaled so that the largest is 100.

Structural model:
Lattice parameters (Å, degrees): 9.1226 9.1226 10.0227 90.00 90.00 120.00
Space group P6_222 (No. 180)
Inequivalent atoms, fractional coordinates:
Ti (0.0000, 0.5000, 0.1667) x3
C (0.2183, 0.4367, 0.0000) x6
C (0.3139, 0.6278, 0.0000) x6
N (0.0000, 0.0000, 0.1667) x3
O (0.0000, 0.0780, 0.6667) x6
O (0.0721, 0.3641, 0.0513) x12
O (0.2360, 0.5412, 0.2792) x12

Principal peaks in the range 2θ = 5–70°, in order of falling intensity:
hkl 1 0 1, 2θ = 14.3°, d 6.205, I = 100
hkl 1 1 0, 2θ = 19.5°, d 4.561, I = 13
hkl 2 0 3, 2θ = 35.2°, d 2.551, I = 9
hkl 1 1 2, 2θ = 26.4°, d 3.373, I = 8
hkl 2 1 4, 2θ = 47.4°, d 1.919, I = 8
hkl 1 0 2, 2θ = 21.0°, d 4.232, I = 7
hkl 3 0 2, 2θ = 38.6°, d 2.331, I = 6
hkl 0 0 3, 2θ = 26.7°, d 3.341, I = 5
hkl 4 1 1, 2θ = 54.0°, d 1.699, I = 5
hkl 1 1 3, 2θ = 33.2°, d 2.695, I = 5


No. 4
Theoretical PXRD pattern of Cs2HgI4 for Cu Kα, from a crystal structure in the Materials Project, relaxed with PBE.
Intensities are scaled so that the largest is 100.

Structural model:
Lattice parameters (Å, degrees): 8.121 8.657 11.307 90.00 110.39 90.00
Space group P2_1 (No. 4)
Inequivalent atoms, fractional coordinates:
Cs (0.193, 0.000, 0.407) x2
Cs (0.306, 0.006, 0.966) x2
Hg (0.320, 0.505, 0.227) x2
I (0.075, 0.501, 0.354) x2
I (0.143, 0.496, 0.956) x2
I (0.458, 0.267, 0.717) x2
I (0.461, 0.739, 0.710) x2

Principal peaks in the range 2θ = 5–70°, in order of falling intensity:
hkl 2 0 -2, 2θ = 23.6°, d 3.772, I = 100
hkl 2 1 -2, 2θ = 25.7°, d 3.462, I = 85
hkl 1 2 -2, 2θ = 26.6°, d 3.353, I = 39
hkl 0 4 0, 2θ = 41.8°, d 2.163, I = 38
hkl 0 2 0, 2θ = 20.5°, d 4.329, I = 37
hkl 1 2 1, 2θ = 26.5°, d 3.368, I = 36
hkl 0 1 1, 2θ = 13.2°, d 6.705, I = 35
hkl 1 0 -4, 2θ = 31.7°, d 2.827, I = 33
hkl 2 2 0, 2θ = 31.3°, d 2.858, I = 30
hkl 2 3 -2, 2θ = 39.3°, d 2.293, I = 28


No. 5
Theoretical PXRD pattern of BaAl for Cu Kα, from a crystal structure in the Materials Project, relaxed with PBE.
Intensities are scaled so that the largest is 100.

Structural model:
Lattice parameters (Å, degrees): 9.837 4.710 6.424 90.00 90.00 90.00
Space group Pnma (No. 62)
Inequivalent atoms, fractional coordinates:
Ba (0.179, 0.250, 0.086) x4
Al (0.023, 0.250, 0.584) x4

Principal peaks in the range 2θ = 5–70°, in order of falling intensity:
hkl 1 1 1, 2θ = 25.1°, d 3.543, I = 100
hkl 2 1 0, 2θ = 26.2°, d 3.402, I = 57
hkl 3 0 1, 2θ = 30.6°, d 2.920, I = 54
hkl 1 0 2, 2θ = 29.2°, d 3.053, I = 41
hkl 3 2 1, 2θ = 49.7°, d 1.833, I = 27
hkl 1 1 2, 2θ = 35.0°, d 2.562, I = 24
hkl 0 2 0, 2θ = 38.2°, d 2.355, I = 21
hkl 3 1 2, 2θ = 43.9°, d 2.063, I = 21
hkl 2 1 1, 2θ = 29.7°, d 3.006, I = 21
hkl 1 2 2, 2θ = 48.8°, d 1.865, I = 19